Entry 1:
Theoretical powder diffraction line list of Co2OF3 for copper Kα, from a cell relaxed with PBE+U.
Intensities are scaled so that the largest is 100.

Largest 10 diffraction maxima, low angle first, 2θ from 5° to 70°:
- 26.14 deg, 3.409 Å, intensity 93
- 27.83 deg, 3.206 Å, intensity 87
- 34.87 deg, 2.573 Å, intensity 100
- 38.55 deg, 2.336 Å, intensity 17
- 39.41 deg, 2.286 Å, intensity 16
- 51.98 deg, 1.759 Å, intensity 62
- 53.78 deg, 1.705 Å, intensity 19
- 53.91 deg, 1.701 Å, intensity 54
- 60.03 deg, 1.541 Å, intensity 17
- 67.39 deg, 1.390 Å, intensity 52

Crystal structure
```
Co2OF3
1.0
3.082 -6.412 0.000
3.082 6.412 0.000
0.000 0.000 6.819
Co O F
8 4 12
Direct
0.124 0.876 0.750
0.125 0.375 0.750
0.374 0.626 0.250
0.375 0.125 0.250
0.625 0.875 0.750
0.626 0.374 0.750
0.875 0.625 0.250
0.876 0.124 0.250
0.030 0.970 0.250
0.280 0.720 0.750
0.720 0.280 0.250
0.970 0.030 0.750
0.125 0.375 0.051
0.125 0.375 0.449
0.223 0.777 0.250
0.375 0.125 0.551
0.375 0.125 0.949
0.474 0.526 0.750
0.526 0.474 0.250
0.625 0.875 0.051
0.625 0.875 0.449
0.777 0.223 0.750
0.875 0.625 0.551
0.875 0.625 0.949
```

Entry 2:
Theoretical powder diffraction line list of MgMn6O8F4 for copper Kα, from a cell relaxed with PBE+U.
Intensities are scaled so that the largest is 100.

Largest 10 diffraction maxima, low angle first, 2θ from 5° to 70°:
- 25.19 deg, 3.536 Å, intensity 100
- 25.43 deg, 3.502 Å, intensity 92
- 34.70 deg, 2.585 Å, intensity 24
- 34.94 deg, 2.568 Å, intensity 25
- 35.31 deg, 2.542 Å, intensity 41
- 36.33 deg, 2.473 Å, intensity 19
- 50.35 deg, 1.812 Å, intensity 20
- 50.89 deg, 1.794 Å, intensity 21
- 51.50 deg, 1.774 Å, intensity 57
- 51.70 deg, 1.768 Å, intensity 27

Crystal structure
```
MgMn6O8F4
1.0
4.946 0.000 0.000
0.049 5.009 0.000
0.105 0.171 8.952
Mg Mn O F
1 6 8 4
Direct
0.000 0.000 0.000
0.010 0.542 0.343
0.071 0.498 0.997
0.477 0.004 0.191
0.507 0.034 0.829
0.543 0.067 0.500
0.976 0.557 0.679
0.161 0.726 0.158
0.164 0.754 0.844
0.343 0.244 0.339
0.345 0.193 0.010
0.678 0.861 0.669
0.688 0.841 0.345
0.844 0.366 0.512
0.866 0.299 0.849
0.183 0.762 0.517
0.345 0.272 0.663
0.674 0.794 0.016
0.862 0.272 0.152
```

Entry 3:
Theoretical powder diffraction line list of Li3MnP2O6F4 for copper Kα, from a cell relaxed with PBE+U.
Intensities are scaled so that the largest is 100.

Largest 10 diffraction maxima, low angle first, 2θ from 5° to 70°:
- 13.72 deg, 6.454 Å, intensity 72
- 16.44 deg, 5.393 Å, intensity 42
- 18.15 deg, 4.888 Å, intensity 65
- 21.60 deg, 4.113 Å, intensity 100
- 25.82 deg, 3.451 Å, intensity 82
- 26.43 deg, 3.372 Å, intensity 46
- 26.55 deg, 3.357 Å, intensity 79
- 27.59 deg, 3.233 Å, intensity 43
- 32.15 deg, 2.784 Å, intensity 42
- 32.51 deg, 2.754 Å, intensity 41

Crystal structure
```
Li3MnP2O6F4
1.0
6.455 0.000 0.000
0.000 7.484 0.000
-0.138 0.000 7.777
Li Mn P O F
6 2 4 12 8
Direct
0.000 0.000 0.000
0.000 0.500 0.500
0.241 0.236 0.676
0.241 0.264 0.176
0.759 0.736 0.824
0.759 0.764 0.324
0.500 0.000 0.000
0.500 0.500 0.500
0.249 0.660 0.859
0.249 0.840 0.359
0.751 0.160 0.641
0.751 0.340 0.141
0.052 0.736 0.378
0.052 0.764 0.878
0.264 0.541 0.701
0.264 0.959 0.201
0.449 0.726 0.382
0.449 0.774 0.882
0.551 0.226 0.118
0.551 0.274 0.618
0.736 0.041 0.799
0.736 0.459 0.299
0.948 0.236 0.122
0.948 0.264 0.622
0.262 0.526 0.020
0.262 0.974 0.520
0.267 0.114 0.892
0.267 0.386 0.392
0.733 0.614 0.608
0.733 0.886 0.108
0.738 0.026 0.480
0.738 0.474 0.980
```

Entry 4:
Theoretical powder diffraction line list of Li4Mn3Co3W2O16 for copper Kα, from a cell relaxed with PBE+U.
Intensities are scaled so that the largest is 100.

Largest 10 diffraction maxima, low angle first, 2θ from 5° to 70°:
- 19.01 deg, 4.669 Å, intensity 47
- 19.37 deg, 4.582 Å, intensity 100
- 19.48 deg, 4.556 Å, intensity 42
- 19.61 deg, 4.528 Å, intensity 90
- 25.22 deg, 3.531 Å, intensity 39
- 32.12 deg, 2.786 Å, intensity 36
- 32.58 deg, 2.748 Å, intensity 50
- 34.64 deg, 2.590 Å, intensity 41
- 35.46 deg, 2.532 Å, intensity 80
- 61.94 deg, 1.498 Å, intensity 30

Crystal structure
```
Li4Mn3Co3W2O16
1.0
5.219 -2.950 0.000
5.219 2.950 0.000
-0.291 0.000 9.858
Li Mn Co W O
4 3 3 2 16
Direct
0.000 0.000 0.000
0.004 0.004 0.494
0.339 0.339 0.577
0.669 0.669 0.077
0.169 0.169 0.274
0.343 0.833 0.770
0.833 0.343 0.770
0.188 0.651 0.268
0.651 0.188 0.268
0.832 0.832 0.771
0.335 0.335 0.999
0.681 0.681 0.497
0.003 0.003 0.189
0.005 0.005 0.683
0.041 0.480 0.132
0.168 0.168 0.892
0.168 0.650 0.902
0.333 0.333 0.371
0.350 0.826 0.398
0.480 0.041 0.132
0.484 0.484 0.129
0.522 0.969 0.627
0.525 0.525 0.642
0.650 0.168 0.902
0.664 0.664 0.870
0.826 0.350 0.398
0.830 0.830 0.396
0.969 0.522 0.627
```

Entry 5:
Theoretical powder diffraction line list of Li2VO3F for copper Kα, from a cell relaxed with PBE+U.
Intensities are scaled so that the largest is 100.

Largest 10 diffraction maxima, low angle first, 2θ from 5° to 70°:
- 15.03 deg, 5.893 Å, intensity 75
- 15.16 deg, 5.845 Å, intensity 100
- 15.29 deg, 5.795 Å, intensity 21
- 26.24 deg, 3.396 Å, intensity 44
- 26.36 deg, 3.381 Å, intensity 37
- 26.46 deg, 3.368 Å, intensity 29
- 26.58 deg, 3.353 Å, intensity 42
- 43.23 deg, 2.093 Å, intensity 47
- 43.80 deg, 2.067 Å, intensity 45
- 44.21 deg, 2.048 Å, intensity 44

Crystal structure
```
Li2VO3F
1.0
7.146 0.000 0.000
-2.367 6.746 0.000
-2.248 -3.391 5.882
Li V O F
8 4 12 4
Direct
0.000 0.000 0.000
0.007 0.273 0.701
0.040 0.765 0.246
0.246 0.269 0.468
0.267 0.753 0.982
0.526 0.751 0.723
0.534 0.997 0.474
0.798 0.771 0.502
0.260 0.002 0.746
0.524 0.538 0.011
0.527 0.272 0.266
0.793 0.272 0.962
0.008 0.495 0.991
0.061 0.806 0.761
0.084 0.027 0.532
0.306 0.041 0.237
0.314 0.270 0.000
0.322 0.512 0.776
0.519 0.033 0.976
0.536 0.741 0.229
0.539 0.495 0.465
0.547 0.267 0.772
0.750 0.485 0.211
0.779 0.034 0.756
0.302 0.797 0.516
0.754 0.243 0.459
0.776 0.746 0.001
0.993 0.244 0.208
```